For K2Mo3Se18, a cell relaxed with GGA-PBE gives the calculated powder X-ray diffraction pattern in this record (Cu Ka).
No peak broadening, texture or thermal motion is included.

Largest 10 diffraction maxima, sorted by position, 2θ = 15–90°:
d_spacing  Position (°2θ)  Rel. int.
5.357  16.5  100
3.736  23.8  23
3.454  25.8  24
3.230  27.6  44
3.100  28.8  44
2.646  33.9  28
2.494  36.0  26
2.486  36.1  47
2.350  38.3  23
1.813  50.3  27

Atomic structure:
```
data_K2Mo3Se18
_chemical_formula_sum 'K4 Mo6 Se36'
_space_group_name_H-M_alt 'P 1'
_space_group_IT_number 1
_space_group_name_Hall 'P 1'
_cell_length_a 10.704
_cell_length_b 12.915
_cell_length_c 10.836
_cell_angle_alpha 90.00
_cell_angle_beta 116.59
_cell_angle_gamma 90.00
loop_
_atom_site_label
_atom_site_type_symbol
_atom_site_fract_x
_atom_site_fract_y
_atom_site_fract_z
K1 K 0.083 0.000 0.005
K2 K 0.232 0.515 0.660
K3 K 0.768 0.015 0.340
K4 K 0.917 0.500 0.995
Mo1 Mo 0.262 0.942 0.663
Mo2 Mo 0.414 0.949 0.512
Mo3 Mo 0.446 0.432 0.200
Mo4 Mo 0.554 0.932 0.800
Mo5 Mo 0.586 0.449 0.488
Mo6 Mo 0.738 0.442 0.337
Se1 Se 0.039 0.029 0.672
Se2 Se 0.055 0.761 0.840
Se3 Se 0.067 0.800 0.629
Se4 Se 0.069 0.216 0.701
Se5 Se 0.093 0.255 0.928
Se6 Se 0.138 0.928 0.392
Se7 Se 0.222 0.493 0.972
Se8 Se 0.242 0.091 0.495
Se9 Se 0.264 0.678 0.992
Se10 Se 0.314 0.421 0.358
Se11 Se 0.331 0.250 0.104
Se12 Se 0.386 0.266 0.679
Se13 Se 0.398 0.841 0.300
Se14 Se 0.398 0.901 0.928
Se15 Se 0.402 0.791 0.640
Se16 Se 0.407 0.581 0.336
Se17 Se 0.410 0.072 0.850
Se18 Se 0.414 0.022 0.280
Se19 Se 0.586 0.522 0.720
Se20 Se 0.590 0.572 0.150
Se21 Se 0.593 0.081 0.664
Se22 Se 0.598 0.291 0.360
Se23 Se 0.602 0.341 0.700
Se24 Se 0.602 0.401 0.072
Se25 Se 0.614 0.766 0.321
Se26 Se 0.669 0.750 0.896
Se27 Se 0.686 0.921 0.642
Se28 Se 0.736 0.178 0.008
Se29 Se 0.758 0.591 0.505
Se30 Se 0.778 0.993 0.028
Se31 Se 0.862 0.428 0.608
Se32 Se 0.907 0.755 0.072
Se33 Se 0.931 0.716 0.299
Se34 Se 0.933 0.300 0.371
Se35 Se 0.945 0.261 0.160
Se36 Se 0.961 0.529 0.328
```


For KYMo2, a cell relaxed with GGA-PBE gives the calculated powder X-ray diffraction pattern in this record (Cu Ka).
No peak broadening, texture or thermal motion is included.

Largest 10 diffraction maxima, sorted by position, 2θ = 15–90°:
d_spacing  Position (°2θ)  Rel. int.
3.319  26.9  28
2.751  32.5  96
2.342  38.4  70
2.335  38.6  100
2.272  39.7  36
1.989  45.6  32
1.650  55.7  25
1.416  66.0  17
1.350  69.6  21
1.348  69.8  15

Atomic structure:
```
data_KYMo2
_chemical_formula_sum 'K1 Y1 Mo2'
_space_group_name_H-M_alt 'P 1'
_space_group_IT_number 1
_space_group_name_Hall 'P 1'
_cell_length_a 3.301
_cell_length_b 3.301
_cell_length_c 9.957
_cell_angle_alpha 90.00
_cell_angle_beta 90.18
_cell_angle_gamma 90.00
loop_
_atom_site_label
_atom_site_type_symbol
_atom_site_fract_x
_atom_site_fract_y
_atom_site_fract_z
K1 K 0.000 0.000 0.000
Y1 Y 0.493 0.500 0.385
Mo1 Mo 0.496 0.500 0.704
Mo2 Mo 0.995 0.000 0.582
```


For KYMo, a cell relaxed with GGA-PBE gives the calculated powder X-ray diffraction pattern in this record (Cu Ka).
No peak broadening, texture or thermal motion is included.

Largest 10 diffraction maxima, sorted by position, 2θ = 15–90°:
d_spacing  Position (°2θ)  Rel. int.
2.941  30.4  14
2.736  32.7  100
2.465  36.5  23
2.325  38.7  36
2.206  40.9  10
1.984  45.7  12
1.953  46.5  13
1.644  55.9  12
1.545  59.8  10
1.470  63.3  14

Atomic structure:
```
data_KYMo
_chemical_formula_sum 'K1 Y1 Mo1'
_space_group_name_H-M_alt 'P 1'
_space_group_IT_number 1
_space_group_name_Hall 'P 1'
_cell_length_a 9.160
_cell_length_b 9.043
_cell_length_c 3.164
_cell_angle_alpha 82.09
_cell_angle_beta 77.90
_cell_angle_gamma 20.01
loop_
_atom_site_label
_atom_site_type_symbol
_atom_site_fract_x
_atom_site_fract_y
_atom_site_fract_z
K1 K 0.000 0.000 0.000
Y1 Y 0.716 0.716 0.284
Mo1 Mo 0.333 0.333 0.667
```


For KZr2Mo, a cell relaxed with GGA-PBE gives the calculated powder X-ray diffraction pattern in this record (Cu Ka).
No peak broadening, texture or thermal motion is included.

Largest 10 diffraction maxima, sorted by position, 2θ = 15–90°:
d_spacing  Position (°2θ)  Rel. int.
2.797  32.0  73
2.787  32.1  25
2.380  37.8  100
2.372  37.9  42
2.365  38.1  21
2.316  38.9  37
2.010  45.1  35
2.005  45.2  18
1.683  54.5  26
1.370  68.5  25

Atomic structure:
```
data_KZr2Mo
_chemical_formula_sum 'K1 Zr2 Mo1'
_space_group_name_H-M_alt 'P 1'
_space_group_IT_number 1
_space_group_name_Hall 'P 1'
_cell_length_a 3.366
_cell_length_b 3.366
_cell_length_c 10.026
_cell_angle_alpha 90.00
_cell_angle_beta 90.33
_cell_angle_gamma 90.00
loop_
_atom_site_label
_atom_site_type_symbol
_atom_site_fract_x
_atom_site_fract_y
_atom_site_fract_z
K1 K 0.000 0.000 0.000
Zr1 Zr 0.498 0.500 0.347
Zr2 Zr 0.502 0.500 0.653
Mo1 Mo 0.000 0.000 0.500
```


For KN6, a cell relaxed with GGA-PBE gives the calculated powder X-ray diffraction pattern in this record (Cu Ka).
No peak broadening, texture or thermal motion is included.

Largest 10 diffraction maxima, sorted by position, 2θ = 15–90°:
d_spacing  Position (°2θ)  Rel. int.
3.608  24.7  5
2.898  30.9  100
2.689  33.3  6
2.433  36.9  38
2.353  38.2  5
2.119  42.7  4
1.804  50.6  6
1.720  53.2  10
1.682  54.6  4
1.479  62.8  16

Atomic structure:
```
data_KN6
_chemical_formula_sum 'K1 N6'
_space_group_name_H-M_alt 'P 1'
_space_group_IT_number 1
_space_group_name_Hall 'P 1'
_cell_length_a 4.866
_cell_length_b 4.866
_cell_length_c 5.377
_cell_angle_alpha 90.00
_cell_angle_beta 90.00
_cell_angle_gamma 90.00
loop_
_atom_site_label
_atom_site_type_symbol
_atom_site_fract_x
_atom_site_fract_y
_atom_site_fract_z
K1 K 0.000 0.000 0.000
N1 N 0.000 0.500 0.394
N2 N 0.000 0.500 0.606
N3 N 0.500 0.000 0.394
N4 N 0.500 0.000 0.606
N5 N 0.500 0.500 0.106
N6 N 0.500 0.500 0.894
```


For K4N, a cell relaxed with GGA-PBE gives the calculated powder X-ray diffraction pattern in this record (Cu Ka).
No peak broadening, texture or thermal motion is included.

Largest 10 diffraction maxima, sorted by position, 2θ = 15–90°:
d_spacing  Position (°2θ)  Rel. int.
3.445  25.9  100
2.983  30.0  71
2.109  42.9  47
1.799  50.8  39
1.722  53.2  15
1.492  62.2  7
1.369  68.6  15
1.334  70.6  17
1.218  78.5  12
1.148  84.4  11

Atomic structure:
```
data_K4N
_chemical_formula_sum 'K4 N1'
_space_group_name_H-M_alt 'P 1'
_space_group_IT_number 1
_space_group_name_Hall 'P 1'
_cell_length_a 5.966
_cell_length_b 5.966
_cell_length_c 5.966
_cell_angle_alpha 90.00
_cell_angle_beta 90.00
_cell_angle_gamma 90.00
loop_
_atom_site_label
_atom_site_type_symbol
_atom_site_fract_x
_atom_site_fract_y
_atom_site_fract_z
K1 K 0.000 0.000 0.000
K2 K 0.000 0.500 0.500
K3 K 0.500 0.000 0.500
K4 K 0.500 0.500 0.000
N1 N 0.500 0.500 0.500
```


For KNa2N6, a cell relaxed with GGA-PBE gives the calculated powder X-ray diffraction pattern in this record (Cu Ka).
No peak broadening, texture or thermal motion is included.

Largest 10 diffraction maxima, sorted by position, 2θ = 15–90°:
d_spacing  Position (°2θ)  Rel. int.
3.909  22.8  23
3.398  26.2  34
3.256  27.4  41
2.943  30.4  48
2.564  35.0  18
2.351  38.3  100
1.962  46.3  21
1.933  47.0  26
1.699  54.0  17
1.694  54.1  19

Atomic structure:
```
data_KNa2N6
_chemical_formula_sum 'K1 Na2 N6'
_space_group_name_H-M_alt 'P 1'
_space_group_IT_number 1
_space_group_name_Hall 'P 1'
_cell_length_a 6.796
_cell_length_b 6.796
_cell_length_c 3.909
_cell_angle_alpha 90.00
_cell_angle_beta 90.00
_cell_angle_gamma 120.00
loop_
_atom_site_label
_atom_site_type_symbol
_atom_site_fract_x
_atom_site_fract_y
_atom_site_fract_z
K1 K 0.000 0.000 0.000
Na1 Na 0.333 0.667 0.500
Na2 Na 0.667 0.333 0.500
N1 N 0.000 0.431 0.095
N2 N 0.000 0.569 0.905
N3 N 0.431 0.000 0.095
N4 N 0.431 0.431 0.905
N5 N 0.569 0.000 0.905
N6 N 0.569 0.569 0.095
```


For KNa2N, a cell relaxed with GGA-PBE gives the calculated powder X-ray diffraction pattern in this record (Cu Ka).
No peak broadening, texture or thermal motion is included.

Largest 10 diffraction maxima, sorted by position, 2θ = 15–90°:
d_spacing  Position (°2θ)  Rel. int.
3.705  24.0  100
3.544  25.1  44
3.257  27.4  42
3.046  29.3  71
2.979  30.0  42
2.173  41.6  19
2.076  43.6  33
1.935  47.0  18
1.852  49.2  41
1.772  51.6  18

Atomic structure:
```
data_KNa2N
_chemical_formula_sum 'K2 Na4 N2'
_space_group_name_H-M_alt 'P 1'
_space_group_IT_number 1
_space_group_name_Hall 'P 1'
_cell_length_a 7.442
_cell_length_b 7.442
_cell_length_c 7.442
_cell_angle_alpha 123.12
_cell_angle_beta 123.12
_cell_angle_gamma 84.68
loop_
_atom_site_label
_atom_site_type_symbol
_atom_site_fract_x
_atom_site_fract_y
_atom_site_fract_z
K1 K 0.375 0.625 0.750
K2 K 0.625 0.375 0.250
Na1 Na 0.000 0.000 0.000
Na2 Na 0.000 0.000 0.500
Na3 Na 0.000 0.500 0.000
Na4 Na 0.500 0.000 0.500
N1 N 0.125 0.875 0.250
N2 N 0.875 0.125 0.750
```